The following is a simulated powder diffraction line list of V2GePb5O12. It was derived from the PBE+U geometry in Alexandria, using Cu Kα X-rays.
Peak positions follow from Bragg's law for the DFT cell and can differ from measured ones.

Atomic structure:
Cell lengths 10.325, 7.455, 10.396 Å; angles 90.00, 119.44, 90.00 degrees
Space group Pm (No. 6)
Unique sites:
V  0.000  0.000  0.000 x1
V  0.036  0.500  0.790 x1
V  0.394  0.500  0.379 x1
V  0.626  0.500  0.021 x1
Ge  0.429  0.000  0.786 x1
Ge  0.639  0.000  0.417 x1
Pb  0.029  0.500  0.146 x1
Pb  0.279  0.500  0.662 x1
Pb  0.289  0.000  0.436 x1
Pb  0.362  0.235  0.066 x2
Pb  0.674  0.252  0.722 x2
Pb  0.763  0.500  0.406 x1
Pb  0.768  0.000  0.135 x1
Pb  0.988  0.000  0.637 x1
O  0.104  0.317  0.739 x2
O  0.114  0.500  0.985 x1
O  0.191  0.000  0.066 x1
O  0.276  0.316  0.315 x2
O  0.355  0.000  0.907 x1
O  0.379  0.187  0.663 x2
O  0.429  0.500  0.910 x1
O  0.500  0.500  0.573 x1
O  0.510  0.500  0.299 x1
O  0.525  0.000  0.223 x1
O  0.535  0.000  0.514 x1
O  0.629  0.000  0.887 x1
O  0.674  0.314  0.136 x2
O  0.713  0.500  0.914 x1
O  0.763  0.186  0.489 x2
O  0.841  0.500  0.696 x1
O  0.901  0.000  0.803 x1
O  0.942  0.184  0.061 x2

Principal peaks in the range 10 to 90 degrees two-theta, in order of rising 2θ:
| d/Å | 2theta | I_rel | (hkl) |
| --- | --- | --- | --- |
| 4.271 | 20.80 | 34.6 | 1 1 -2 |
| 3.444 | 25.87 | 47.0 | 1 2 0 |
| 3.415 | 26.09 | 29.7 | 2 0 1 |
| 3.105 | 28.75 | 76.5 | 2 1 1 |
| 3.085 | 28.94 | 43.8 | 2 1 -3 |
| 3.032 | 29.46 | 100.0 | 1 2 -2 |
| 3.020 | 29.57 | 86.2 | 0 0 3 |
| 2.997 | 29.81 | 32.8 | 3 0 0 |
| 2.982 | 29.96 | 33.3 | 3 0 -3 |
| 2.003 | 45.28 | 33.5 | 2 3 -3 |